This entry pairs a crystal structure of Cs2Ac2SnO6 with its calculated XRD peak list. Radiation: CuKα. Structure: a structure optimized by DFT (GGA-PBE).

Most intense lines, 15° ≤ 2θ ≤ 90°, by intensity:
2theta, I/Imax
32.45, 100.0
29.56, 85.5
25.05, 73.8
28.63, 47.4
33.31, 47.2
44.95, 39.0
49.35, 34.1
18.37, 26.2

Structural model:
```
Cs2Ac2SnO6
1.0
3.2140 -5.4792 0.0000
3.2140 5.4792 0.0000
-1.7773 0.0000 7.1085
Cs Ac Sn O
2 2 1 6
direct
0.1626 0.8374 0.0000
0.8374 0.1626 0.0000
0.3356 0.6644 0.5000
0.6644 0.3356 0.5000
0.0000 0.0000 0.5000
0.0406 0.3392 0.6560
0.2327 0.2327 0.3347
0.3392 0.0406 0.6560
0.6608 0.9594 0.3440
0.7673 0.7673 0.6653
0.9594 0.6608 0.3440
```

=====

This entry pairs a crystal structure of LiLa7Pr12 with its calculated XRD peak list. Radiation: CuKα. Structure: a structure optimized by DFT (GGA-PBE).

Most intense lines, 15° ≤ 2θ ≤ 90°, by intensity:
2theta, I/Imax
30.45, 100.0
43.60, 71.2
26.29, 66.6
15.09, 37.2
71.91, 27.6
51.63, 26.3
54.10, 23.9
34.14, 20.4

Structural model:
```
LiLa7Pr12
1.0
-5.8719 5.8719 5.8719
5.8719 -5.8719 5.8719
5.8719 5.8719 -5.8719
Li La Pr
1 7 12
direct
0.0000 0.0000 0.0000
0.0000 0.0000 0.5000
0.0000 0.5000 0.0000
0.0000 0.5000 0.5000
0.5000 0.0000 0.0000
0.5000 0.0000 0.5000
0.5000 0.5000 0.0000
0.5000 0.5000 0.5000
0.0269 0.2640 0.7630
0.2370 0.5010 0.2640
0.2370 0.9731 0.7360
0.2640 0.2370 0.5010
0.2640 0.7630 0.0269
0.4990 0.7360 0.7630
0.5010 0.2640 0.2370
0.7360 0.2370 0.9731
0.7360 0.7630 0.4990
0.7630 0.0269 0.2640
0.7630 0.4990 0.7360
0.9731 0.7360 0.2370
```

=====

Question: Which formula does entry 2 have?
Answer: LiLa7Pr12

=====

Copy entry 1 word for word.
This entry pairs a crystal structure of Cs2Ac2SnO6 with its calculated XRD peak list. Radiation: CuKα. Structure: a structure optimized by DFT (GGA-PBE).

Most intense lines, 15° ≤ 2θ ≤ 90°, by intensity:
2theta, I/Imax
32.45, 100.0
29.56, 85.5
25.05, 73.8
28.63, 47.4
33.31, 47.2
44.95, 39.0
49.35, 34.1
18.37, 26.2

Structural model:
```
Cs2Ac2SnO6
1.0
3.2140 -5.4792 0.0000
3.2140 5.4792 0.0000
-1.7773 0.0000 7.1085
Cs Ac Sn O
2 2 1 6
direct
0.1626 0.8374 0.0000
0.8374 0.1626 0.0000
0.3356 0.6644 0.5000
0.6644 0.3356 0.5000
0.0000 0.0000 0.5000
0.0406 0.3392 0.6560
0.2327 0.2327 0.3347
0.3392 0.0406 0.6560
0.6608 0.9594 0.3440
0.7673 0.7673 0.6653
0.9594 0.6608 0.3440
```